1.
# AcPmCoPd
Theoretical powder diffractogram, Cu Kα (λ = 1.5418 Å). Input: a PBE-relaxed structure.
Lines closer than 0.1° are merged.

Cell and atoms:
abc: 5.128 5.128 5.128
angles: 60.00 60.00 60.00
Sites, in units of the cell vectors:
Ac 0.000 0.000 0.000
Pm 0.500 0.500 0.500
Co 0.250 0.250 0.250
Pd 0.750 0.750 0.750

Peak list (10 most intense, 10 to 90 degrees two-theta, sorted by position)
| 2θ/deg | I (rel.) |
| --- | --- |
| 21.22 | 58 |
| 24.55 | 160 |
| 35.00 | 1000 |
| 43.22 | 51 |
| 50.33 | 178 |
| 56.77 | 72 |
| 62.77 | 366 |
| 73.94 | 113 |
| 79.26 | 37 |
| 84.50 | 161 |



2.
# Tm3Ga
Theoretical powder diffractogram, Cu Kα (λ = 1.5418 Å). Input: a PBE-relaxed structure.
Lines closer than 0.1° are merged.

Cell and atoms:
abc: 8.970 8.970 8.970
angles: 96.42 96.42 140.94
Sites, in units of the cell vectors:
Tm 0.112 0.579 0.694
Tm 0.144 0.246 0.826
Tm 0.175 0.287 0.450
Tm 0.275 0.825 0.112
Tm 0.420 0.318 0.174
Tm 0.421 0.115 0.532
Tm 0.583 0.888 0.468
Tm 0.682 0.856 0.102
Tm 0.713 0.163 0.888
Tm 0.754 0.580 0.898
Tm 0.837 0.725 0.550
Tm 0.885 0.417 0.306
Ga 0.175 0.427 0.151
Ga 0.276 0.024 0.849
Ga 0.573 0.724 0.748
Ga 0.976 0.825 0.252

Peak list (10 most intense, 10 to 90 degrees two-theta, sorted by position)
| 2θ/deg | I (rel.) |
| --- | --- |
| 26.86 | 219 |
| 30.81 | 1000 |
| 31.69 | 816 |
| 33.50 | 567 |
| 34.35 | 838 |
| 38.34 | 650 |
| 53.53 | 197 |
| 54.21 | 275 |
| 55.86 | 191 |
| 64.21 | 195 |



3.
# TiTl2InBr6
Theoretical powder diffractogram, Cu Kα (λ = 1.5418 Å). Input: a PBE-relaxed structure.
Lines closer than 0.1° are merged.

Cell and atoms:
abc: 7.956 7.958 8.066
angles: 60.49 60.51 60.04
Sites, in units of the cell vectors:
Ti 0.000 0.000 0.000
Tl 0.213 0.213 0.362
Tl 0.701 0.700 0.898
In 0.491 0.491 0.526
Br 0.122 0.320 0.761
Br 0.222 0.874 0.217
Br 0.320 0.797 0.761
Br 0.688 0.222 0.216
Br 0.797 0.122 0.761
Br 0.873 0.688 0.217

Peak list (10 most intense, 10 to 90 degrees two-theta, sorted by position)
| 2θ/deg | I (rel.) |
| --- | --- |
| 15.64 | 494 |
| 22.03 | 1000 |
| 22.34 | 666 |
| 26.11 | 712 |
| 27.39 | 621 |
| 31.58 | 940 |
| 35.22 | 842 |
| 39.03 | 656 |
| 39.21 | 615 |
| 58.34 | 301 |